MgTi4O8: theoretical X-ray powder pattern (Cu Kα (weighted mean of Kα1 and Kα2)), based on a crystal structure in the Materials Project, relaxed with PBE.

Main lines, low angle first (2θ from 10° to 80°):
d/Å, I (rel.)
4.692, 73
4.491, 100
2.779, 61
2.654, 40
2.536, 67
1.847, 36
1.556, 35
1.499, 37

```
13
Lattice="5.2425 0.0000 0.0000 0.0000 2.9961 0.0000 -0.4948 0.0000 9.5232" Properties=species:S:1:pos:R:3 pbc="T T T"
Mg 0.0000 0.0000 0.0000
Ti 0.0025 0.0000 3.8783
Ti 1.9393 0.0000 8.4959
Ti 2.6088 1.4981 1.8874
Ti 4.5168 1.4981 6.4226
O 0.2554 0.0000 7.5071
O 0.6508 1.4981 4.9357
O 1.3272 1.4981 0.1517
O 1.4932 0.0000 2.6263
O 3.4475 0.0000 0.7104
O 3.1061 1.4981 7.8721
O 3.8054 0.0000 5.4988
O 4.2050 1.4981 2.9615
```

MgTi4O8: theoretical X-ray powder pattern (Cu Kα (weighted mean of Kα1 and Kα2)), based on a crystal structure in the Materials Project, relaxed with PBE.

Main lines, low angle first (2θ from 10° to 80°):
d/Å, I (rel.)
4.172, 96
3.231, 100
2.555, 31
2.535, 63
2.392, 43
1.923, 51
1.697, 66
1.616, 26

```
13
Lattice="-2.9203 3.2306 4.1720 2.9203 -3.2306 4.1720 2.9203 3.2306 -4.1720" Properties=species:S:1:pos:R:3 pbc="T T T"
Mg 0.0000 0.0000 0.0000
Ti 2.9203 0.0000 2.3719
Ti 0.0000 0.0000 2.7492
Ti 1.3983 3.2306 1.7334
Ti 1.5219 0.0000 5.9054
O 1.4803 0.0000 1.2474
O 4.3602 0.0000 1.2474
O 1.4513 3.2306 -0.1143
O 1.4690 0.0000 4.0578
O 0.0000 1.9556 2.2535
O 2.9203 2.0361 2.5333
O 0.0000 4.5057 2.2535
O 0.0000 1.1945 6.7053
```

MgTi4O8: theoretical X-ray powder pattern (Cu Kα (weighted mean of Kα1 and Kα2)), based on a crystal structure in the Materials Project, relaxed with PBE.

Main lines, low angle first (2θ from 10° to 80°):
d/Å, I (rel.)
5.383, 100
4.394, 78
2.899, 42
2.877, 27
2.349, 26
2.207, 39
2.162, 37
2.042, 32

```
13
Lattice="10.7652 0.0000 0.0000 0.0000 1.5199 4.8137 0.0000 -1.5199 4.8137" Properties=species:S:1:pos:R:3 pbc="T T T"
Mg 0.0000 0.0000 0.0000
Ti 2.3194 0.0000 5.8238
Ti 3.6441 0.0000 8.3007
Ti 7.1211 0.0000 8.3007
Ti 8.4458 0.0000 5.8238
O 0.0000 0.0000 6.0105
O 1.8635 0.0000 9.3311
O 2.8387 0.0000 2.2941
O 3.8876 0.0000 4.8374
O 5.3826 0.0000 7.7329
O 6.8775 0.0000 4.8374
O 7.9265 0.0000 2.2941
O 8.9016 0.0000 9.3311
```

MgTi3O6: theoretical X-ray powder pattern (Cu Kα (weighted mean of Kα1 and Kα2)), based on a crystal structure in the Materials Project, relaxed with PBE.

Main lines, low angle first (2θ from 10° to 80°):
d/Å, I (rel.)
5.121, 19
3.894, 13
3.865, 53
3.839, 100
2.560, 14
2.529, 9
2.076, 14
1.838, 11

```
10
Lattice="5.1552 -2.9502 0.0000 5.1552 2.9502 0.0000 -0.0828 0.0000 5.8453" Properties=species:S:1:pos:R:3 pbc="T T T"
Mg 0.0000 0.0000 0.0000
Ti 2.5093 0.7817 4.8315
Ti 7.7182 0.7817 1.0139
Ti 5.1138 -0.8267 2.9227
O 1.8992 -0.6100 0.1795
O 3.7176 0.1643 3.5991
O 6.5100 0.1643 2.2463
O 4.4227 -1.8563 1.5066
O 5.8049 -1.8563 4.3388
O 8.3283 -0.6100 5.6658
```

MgTiO2: theoretical X-ray powder pattern (Cu Kα (weighted mean of Kα1 and Kα2)), based on a crystal structure in the Materials Project, relaxed with PBE.

Main lines, low angle first (2θ from 10° to 80°):
d/Å, I (rel.)
6.094, 99
3.047, 33
2.542, 100
2.241, 44
1.833, 50
1.826, 24
1.704, 23
1.482, 44

```
8
Lattice="5.1347 0.0000 0.0000 0.0000 2.9630 0.0000 -1.6759 0.0000 6.0941" Properties=species:S:1:pos:R:3 pbc="T T T"
Mg 0.0000 0.0000 0.0000
Mg 2.5674 1.4815 0.0000
Ti 0.8750 1.4815 3.1898
Ti 3.4424 0.0000 3.1898
O -0.8339 1.4815 4.4921
O 0.0200 0.0000 2.0805
O 1.7335 0.0000 4.4921
O 2.5874 1.4815 2.0805
```

MgTi4O8: theoretical X-ray powder pattern (Cu Kα (weighted mean of Kα1 and Kα2)), based on a crystal structure in the Materials Project, relaxed with PBE.

Main lines, low angle first (2θ from 10° to 80°):
d/Å, I (rel.)
4.633, 67
4.464, 100
3.412, 55
2.738, 48
2.519, 66
2.288, 39
1.497, 44
1.492, 35

```
13
Lattice="5.1980 0.0000 0.0000 0.0000 2.9836 0.0000 -0.4130 0.0000 9.4050" Properties=species:S:1:pos:R:3 pbc="T T T"
Mg 0.0000 0.0000 0.0000
Ti -0.0049 0.0000 2.8875
Ti 1.6147 0.0000 7.2593
Ti 2.5972 1.4918 0.6869
Ti 4.1934 1.4918 5.3021
O -0.0056 0.0000 6.2505
O 0.6187 1.4918 3.8288
O 0.7183 1.4918 8.5429
O 1.5231 0.0000 1.4827
O 2.5977 1.4918 6.4048
O 2.8838 0.0000 8.8544
O 3.6610 0.0000 4.0869
O 4.3902 1.4918 1.4962
```

MgTi4O8: theoretical X-ray powder pattern (Cu Kα (weighted mean of Kα1 and Kα2)), based on a crystal structure in the Materials Project, relaxed with PBE.

Main lines, low angle first (2θ from 10° to 80°):
d/Å, I (rel.)
7.226, 62
5.109, 66
3.231, 100
2.490, 71
2.239, 45
1.903, 48
1.599, 48
1.406, 39

```
13
Lattice="-5.1094 5.1094 1.4850 5.1094 -5.1094 1.4850 5.1094 5.1094 -1.4850" Properties=species:S:1:pos:R:3 pbc="T T T"
Mg 0.0000 0.0000 0.0000
Ti 3.3749 1.5180 0.0000
Ti 3.5913 -1.7344 1.4850
Ti 1.5180 6.8438 0.0000
Ti 1.7344 3.5913 1.4850
O 6.7892 0.4284 0.0000
O 6.6739 3.0668 0.0000
O 0.4284 3.4296 0.0000
O 3.0668 3.5449 0.0000
O 2.0426 1.5645 1.4850
O 4.6810 1.6798 1.4850
O -1.5645 2.0426 1.4850
O -1.6798 4.6810 1.4850
```

MgTiO2: theoretical X-ray powder pattern (Cu Kα (weighted mean of Kα1 and Kα2)), based on a crystal structure in the Materials Project, relaxed with PBE.

Main lines, low angle first (2θ from 10° to 80°):
d/Å, I (rel.)
4.317, 53
3.202, 23
2.922, 100
2.823, 20
2.524, 33
1.909, 39
1.860, 22
1.569, 24

```
8
Lattice="6.7105 0.0000 0.0000 0.0000 5.8442 0.0000 -0.8831 0.0000 2.8235" Properties=species:S:1:pos:R:3 pbc="T T T"
Mg 0.0000 0.0000 0.0000
Mg 3.3552 2.9221 0.0000
Ti 0.0000 2.9221 0.0000
Ti 3.3552 0.0000 0.0000
O 0.7803 2.9221 1.7988
O 1.6918 0.0000 1.0246
O 4.1356 0.0000 1.7988
O 5.0470 2.9221 1.0246
```

Mg5Ti13O30: theoretical X-ray powder pattern (Cu Kα (weighted mean of Kα1 and Kα2)), based on a crystal structure in the Materials Project, relaxed with PBE.

Main lines, low angle first (2θ from 10° to 80°):
d/Å, I (rel.)
5.053, 29
4.902, 27
3.538, 100
2.776, 66
1.982, 17
1.897, 34
1.566, 28
1.547, 19

```
48
Lattice="5.2563 0.0000 0.0000 0.0000 10.1063 0.0000 -1.1513 0.0000 10.6145" Properties=species:S:1:pos:R:3 pbc="T T T"
Mg 0.0000 0.0000 0.0000
Mg -0.8272 5.0531 8.4621
Mg 1.3575 0.0000 3.5214
Mg 1.6868 5.0531 1.3573
Mg 2.7407 0.0000 7.0830
Ti -0.2989 1.8503 8.2478
Ti -0.2989 8.2560 8.2478
Ti 0.8199 3.1469 3.7196
Ti 0.8199 6.9594 3.7196
Ti 2.2413 1.8464 1.1476
Ti 2.2413 8.2599 1.1476
Ti 2.1622 3.1527 7.3170
Ti 2.1622 6.9536 7.3170
Ti 3.0504 5.0531 4.9207
Ti 3.5802 1.8385 4.7230
Ti 3.5802 8.2678 4.7230
Ti 4.6945 3.2111 0.2150
Ti 4.6945 6.8952 0.2150
O -0.9248 5.0531 10.5200
O -0.0152 1.4048 4.0758
O -0.0152 8.7015 4.0758
O 0.6043 3.2010 1.8075
O 0.6043 6.9053 1.8075
O -0.0838 1.8896 10.1988
O -0.0838 8.2167 10.1988
O 0.5362 3.6724 7.9237
O 0.5362 6.4339 7.9237
O 1.4531 0.0000 1.4731
O 1.6719 5.0531 3.4934
O 1.3603 1.3806 7.5958
O 1.3603 8.7257 7.5958
O 2.0083 3.2267 5.3236
O 2.0083 6.8796 5.3236
O 2.4168 1.8999 3.1300
O 2.4168 8.2064 3.1300
O 3.0527 3.6690 0.8525
O 3.0527 6.4373 0.8525
O 2.8099 0.0000 5.0014
O 3.0131 5.0531 6.8865
O 3.8829 1.3813 0.5256
O 3.8829 8.7249 0.5256
O 3.3386 3.1926 8.8593
O 3.3386 6.9137 8.8593
O 3.8053 1.8742 6.6545
O 3.8053 8.2321 6.6545
O 4.3892 3.7382 4.3978
O 4.3892 6.3681 4.3978
O 4.1886 0.0000 8.5469
```

MgTi4O8: theoretical X-ray powder pattern (Cu Kα (weighted mean of Kα1 and Kα2)), based on a crystal structure in the Materials Project, relaxed with PBE.

Main lines, low angle first (2θ from 10° to 80°):
d/Å, I (rel.)
5.047, 100
2.532, 29
2.125, 79
1.654, 15
1.524, 21
1.483, 21
1.423, 12
1.216, 9

```
13
Lattice="2.9655 1.7121 5.0468 -2.9655 1.7121 5.0468 0.0000 -3.4242 5.0468" Properties=species:S:1:pos:R:3 pbc="T T T"
Mg 0.0000 0.0000 0.0000
Ti -2.9655 0.0000 7.5702
Ti -1.4827 0.8561 2.5234
Ti 1.4827 0.8561 2.5234
Ti 0.0000 0.0000 7.5703
O -1.5448 -0.8919 8.6751
O 0.0000 0.0000 3.5111
O 0.0000 -1.7838 6.4654
O -1.5448 0.8919 6.4654
O 1.5448 -0.8919 8.6751
O 0.0000 1.7838 8.6751
O 0.0000 0.0000 11.6295
O 1.5448 0.8919 6.4654
```

MgTi4O8: theoretical X-ray powder pattern (Cu Kα (weighted mean of Kα1 and Kα2)), based on a crystal structure in the Materials Project, relaxed with PBE.

Main lines, low angle first (2θ from 10° to 80°):
d/Å, I (rel.)
3.494, 100
2.759, 26
2.525, 53
2.248, 27
2.166, 17
1.766, 65
1.437, 23
1.354, 15

```
13
Lattice="4.9390 -2.9374 0.0000 4.9390 2.9374 0.0000 -4.9300 0.0000 4.9448" Properties=species:S:1:pos:R:3 pbc="T T T"
Mg 0.0000 0.0000 0.0000
Ti 0.0640 0.7500 2.7413
Ti -2.1890 -0.7121 4.8916
Ti 4.8839 0.7500 2.2035
Ti 7.1369 -0.7121 0.0532
O 3.5033 0.8644 0.8723
O 0.9625 -0.6735 1.5516
O -0.8687 -0.8241 3.5005
O 1.4445 0.8644 4.0725
O 3.3935 -2.2293 0.9517
O 3.9854 -0.6735 3.3932
O 5.8166 -0.8241 1.4442
O 1.5544 -2.2293 3.9931
```

MgTi4O8: theoretical X-ray powder pattern (Cu Kα (weighted mean of Kα1 and Kα2)), based on a crystal structure in the Materials Project, relaxed with PBE.

Main lines, low angle first (2θ from 10° to 80°):
d/Å, I (rel.)
4.867, 97
4.260, 100
3.891, 100
2.882, 88
2.629, 81
2.603, 57
1.947, 61
1.904, 67

```
13
Lattice="5.2826 0.0000 0.0000 1.3039 5.1195 0.0000 1.9298 0.7594 5.1563" Properties=species:S:1:pos:R:3 pbc="T T T"
Mg 0.0000 0.0000 0.0000
Ti 3.3275 4.2313 2.2325
Ti 2.5892 1.6002 0.3385
Ti 5.9271 4.2787 4.8177
Ti 5.1888 1.6476 2.9238
O 1.1197 0.9787 1.5136
O 2.1513 3.5257 0.9030
O 3.8005 0.9464 4.0993
O 4.3910 3.4508 3.6840
O 4.1253 2.4281 1.4723
O 4.7158 4.9326 1.0570
O 6.3650 2.3532 4.2533
O 7.3967 4.9002 3.6426
```